[1]
This entry pairs a crystal structure of SrB2Rh2O6 with its theoretical powder diffraction line list. Radiation: Cu Ka. Structure: a GGA-PBE-relaxed structure.
Intensities are scaled so that the largest is 100.

Crystal structure
Unit cell a=4.9929 b=4.9929 c=6.8695 alpha=90.00 beta=90.00 gamma=120.00
Space group P-3 (No. 147)
Inequivalent atoms, fractional coordinates:
Sr (0.0000, 0.0000, 0.0000) [1 per cell]
B (0.3333, 0.6667, 0.7373) [2 per cell]
Rh (0.3333, 0.6667, 0.4003) [2 per cell]
O (0.0475, 0.6518, 0.7563) [6 per cell]

Top 8 peaks for 10 to 80 degrees two-theta, by angle:
| d (Å) | 2θ (°) | I/Imax | h k l |
| --- | --- | --- | --- |
| 6.869 | 12.89 | 14 | 0 0 1 |
| 3.659 | 24.32 | 100 | 0 1 1 |
| 2.689 | 33.31 | 44 | 1 0 2 |
| 2.496 | 35.97 | 37 | 1 1 0 |
| 2.062 | 43.90 | 25 | 2 0 1 |
| 2.022 | 44.83 | 41 | 0 1 3 |
| 1.590 | 58.01 | 21 | 1 2 1 |
| 1.476 | 62.98 | 13 | 3 -1 2 |

=====

[2]
This entry pairs a crystal structure of Na7H5O with its theoretical powder diffraction line list. Radiation: Cu Ka. Structure: a GGA-PBE-relaxed structure.
Intensities are scaled so that the largest is 100.

Crystal structure
Unit cell a=3.3761 b=11.2778 c=19.6962 alpha=90.00 beta=90.00 gamma=90.00
Space group Cmc2_1 (No. 36)
Inequivalent atoms, fractional coordinates:
Na (0.0000, 0.0698, 0.0000) [4 per cell]
Na (0.0000, 0.1344, 0.7132) [4 per cell]
Na (0.0000, 0.1350, 0.2867) [4 per cell]
Na (0.0000, 0.3034, 0.0680) [4 per cell]
Na (0.0000, 0.3031, 0.9320) [4 per cell]
Na (0.0000, 0.4080, 0.6370) [4 per cell]
Na (0.0000, 0.4087, 0.3626) [4 per cell]
H (0.0000, 0.0404, 0.6016) [4 per cell]
H (0.0000, 0.0408, 0.3983) [4 per cell]
H (0.0000, 0.2262, 0.1768) [4 per cell]
H (0.0000, 0.2257, 0.8233) [4 per cell]
H (0.0000, 0.5003, 0.2500) [4 per cell]
O (0.0000, 0.2934, 0.5002) [4 per cell]

Top 8 peaks for 10 to 80 degrees two-theta, by angle:
| d (Å) | 2θ (°) | I/Imax | h k l |
| --- | --- | --- | --- |
| 2.901 | 30.82 | 33 | 1 1 3 |
| 2.791 | 32.07 | 34 | 0 4 1 |
| 2.705 | 33.12 | 76 | 1 1 4 |
| 2.518 | 35.66 | 100 | 0 2 7 |
| 2.500 | 35.93 | 22 | 1 1 5 |
| 2.434 | 36.93 | 54 | 1 3 2 |
| 2.346 | 38.37 | 56 | 1 3 3 |
| 1.402 | 66.71 | 25 | 2 2 7 |

=====

[3]
This entry pairs a crystal structure of Tm2ScSi2 with its theoretical powder diffraction line list. Radiation: Cu Ka. Structure: a GGA-PBE-relaxed structure.
Intensities are scaled so that the largest is 100.

Crystal structure
Unit cell a=4.1818 b=5.9381 c=8.6815 alpha=90.00 beta=90.00 gamma=90.00
Space group Immm (No. 71)
Inequivalent atoms, fractional coordinates:
Tm (0.0000, 0.0000, 0.2014) [4 per cell]
Sc (0.0000, 0.5000, 0.0000) [2 per cell]
Si (0.0000, 0.2921, 0.5000) [4 per cell]

Top 8 peaks for 10 to 80 degrees two-theta, by angle:
| d (Å) | 2θ (°) | I/Imax | h k l |
| --- | --- | --- | --- |
| 3.419 | 26.06 | 63 | 1 1 0 |
| 2.969 | 30.10 | 32 | 0 2 0 |
| 2.686 | 33.36 | 100 | 1 1 2 |
| 2.601 | 34.48 | 36 | 0 1 3 |
| 2.451 | 36.67 | 27 | 0 2 2 |
| 2.380 | 37.81 | 25 | 1 0 3 |
| 2.332 | 38.61 | 23 | 1 2 1 |
| 1.411 | 66.24 | 22 | 1 2 5 |

=====

[4]
This entry pairs a crystal structure of SmHoCoNi with its theoretical powder diffraction line list. Radiation: Cu Ka. Structure: a GGA-PBE-relaxed structure.
Intensities are scaled so that the largest is 100.

Crystal structure
Unit cell a=3.9619 b=3.8779 c=10.5629 alpha=90.00 beta=90.00 gamma=90.00
Space group Amm2 (No. 38)
Inequivalent atoms, fractional coordinates:
Sm (0.0000, 0.0000, 0.0000) [2 per cell]
Ho (0.5000, 0.0000, 0.2834) [2 per cell]
Co (0.0000, 0.0000, 0.7162) [2 per cell]
Ni (0.5000, 0.0000, 0.5807) [2 per cell]

Top 8 peaks for 10 to 80 degrees two-theta, by angle:
| d (Å) | 2θ (°) | I/Imax | h k l |
| --- | --- | --- | --- |
| 3.169 | 28.16 | 39 | 1 0 2 |
| 2.681 | 33.43 | 100 | 1 1 1 |
| 2.641 | 33.95 | 25 | 0 0 4 |
| 2.607 | 34.40 | 53 | 0 1 3 |
| 2.178 | 41.47 | 44 | 1 1 3 |
| 1.981 | 45.81 | 23 | 2 0 0 |
| 1.939 | 46.86 | 21 | 0 2 0 |
| 1.577 | 58.52 | 23 | 2 1 3 |

=====

[5]
This entry pairs a crystal structure of Mg2TiCoSb with its theoretical powder diffraction line list. Radiation: Cu Ka. Structure: a GGA-PBE-relaxed structure.
Intensities are scaled so that the largest is 100.

Crystal structure
Unit cell a=5.3444 b=5.3444 c=4.1107 alpha=90.00 beta=90.00 gamma=90.00
Space group P4/mmm (No. 123)
Inequivalent atoms, fractional coordinates:
Mg (0.0000, 0.5000, 0.0000) [2 per cell]
Ti (0.0000, 0.0000, 0.0000) [1 per cell]
Co (0.0000, 0.0000, 0.5000) [1 per cell]
Sb (0.5000, 0.5000, 0.5000) [1 per cell]

Top 8 peaks for 10 to 80 degrees two-theta, by angle:
| d (Å) | 2θ (°) | I/Imax | h k l |
| --- | --- | --- | --- |
| 3.779 | 23.54 | 100 | 1 1 0 |
| 3.258 | 27.37 | 48 | 1 0 1 |
| 2.782 | 32.17 | 97 | 1 1 1 |
| 2.672 | 33.54 | 99 | 2 0 0 |
| 2.066 | 43.81 | 26 | 2 1 1 |
| 1.890 | 48.16 | 34 | 2 2 0 |
| 1.629 | 56.48 | 42 | 2 0 2 |
| 1.563 | 59.10 | 33 | 3 1 1 |

=====

[6]
This entry pairs a crystal structure of Er8Se3 with its theoretical powder diffraction line list. Radiation: Cu Ka. Structure: a GGA-PBE-relaxed structure.
Intensities are scaled so that the largest is 100.

Crystal structure
Unit cell a=8.6960 b=5.6040 c=11.9951 alpha=90.00 beta=101.17 gamma=90.00
Space group C2/m (No. 12)
Inequivalent atoms, fractional coordinates:
Er (0.0510, 0.0000, 0.1389) [4 per cell]
Er (0.0635, 0.5000, 0.7403) [4 per cell]
Er (0.1440, 0.0000, 0.4278) [4 per cell]
Er (0.1813, 0.5000, 0.0431) [4 per cell]
Se (0.0000, 0.5000, 0.5000) [2 per cell]
Se (0.1883, 0.0000, 0.6950) [4 per cell]

Top 8 peaks for 10 to 80 degrees two-theta, by angle:
| d (Å) | 2θ (°) | I/Imax | h k l |
| --- | --- | --- | --- |
| 3.176 | 28.10 | 17 | 2 0 2 |
| 2.802 | 31.94 | 69 | 0 2 0 |
| 2.644 | 33.91 | 46 | 2 0 3 |
| 2.620 | 34.23 | 98 | 1 1 -4 |
| 2.572 | 34.88 | 100 | 3 1 -1 |
| 1.923 | 47.27 | 36 | 2 2 3 |
| 1.580 | 58.40 | 22 | 1 3 -4 |
| 1.570 | 58.84 | 24 | 3 3 -1 |

=====

[7]
This entry pairs a crystal structure of Nd3SiN4 with its theoretical powder diffraction line list. Radiation: Cu Ka. Structure: a GGA-PBE-relaxed structure.
Intensities are scaled so that the largest is 100.

Crystal structure
Unit cell a=7.5076 b=6.6620 c=5.4813 alpha=90.00 beta=90.00 gamma=90.00
Space group Pmn2_1 (No. 31)
Inequivalent atoms, fractional coordinates:
Nd (0.0000, 0.1467, 0.0000) [2 per cell]
Nd (0.2490, 0.3355, 0.5008) [4 per cell]
Si (0.0000, 0.8312, 0.4719) [2 per cell]
N (0.0000, 0.0964, 0.5507) [2 per cell]
N (0.0000, 0.8270, 0.1481) [2 per cell]
N (0.2000, 0.7032, 0.5613) [4 per cell]

Top 8 peaks for 10 to 80 degrees two-theta, by angle:
| d (Å) | 2θ (°) | I/Imax | h k l |
| --- | --- | --- | --- |
| 3.270 | 27.27 | 45 | 2 1 0 |
| 2.847 | 31.43 | 61 | 0 2 1 |
| 2.808 | 31.86 | 100 | 2 1 1 |
| 2.741 | 32.67 | 45 | 0 0 2 |
| 2.101 | 43.06 | 23 | 2 1 2 |
| 1.911 | 47.58 | 30 | 2 3 0 |
| 1.595 | 57.82 | 29 | 2 1 3 |
| 1.567 | 58.93 | 51 | 2 3 2 |

=====

[8]
This entry pairs a crystal structure of LiB13C2 with its theoretical powder diffraction line list. Radiation: Cu Ka. Structure: a GGA-PBE-relaxed structure.
Intensities are scaled so that the largest is 100.

Crystal structure
Unit cell a=5.6782 b=10.8372 c=8.0444 alpha=90.00 beta=90.00 gamma=90.00
Space group Imma (No. 74)
Inequivalent atoms, fractional coordinates:
Li (0.0000, 0.2500, 0.1958) [4 per cell]
B (0.0000, 0.0739, 0.6772) [8 per cell]
B (0.0000, 0.1667, 0.4879) [8 per cell]
B (0.0000, 0.2500, 0.8644) [4 per cell]
B (0.1601, 0.0687, 0.3406) [16 per cell]
B (0.2470, 0.0717, 0.9484) [16 per cell]
C (0.0000, 0.1191, 0.8704) [8 per cell]

Top 8 peaks for 10 to 80 degrees two-theta, by angle:
| d (Å) | 2θ (°) | I/Imax | h k l |
| --- | --- | --- | --- |
| 6.459 | 13.71 | 34 | 0 1 1 |
| 5.419 | 16.36 | 100 | 0 2 0 |
| 3.141 | 28.41 | 37 | 1 1 2 |
| 2.601 | 34.49 | 20 | 0 1 3 |
| 2.515 | 35.70 | 25 | 2 2 0 |
| 2.213 | 40.77 | 30 | 1 2 3 |
| 1.547 | 59.78 | 17 | 3 0 3 |
| 1.305 | 72.45 | 17 | 2 3 5 |